# 1
For K4PPt2N, the GGA-PBE geometry in OQMD gives the computed powder XRD pattern in this record (copper Kα).

The 10 most intense peaks (5 to 70 degrees two-theta), in order of rising 2θ:
h k l, 2θ (°), Rel. int.
0 1 1, 15.3, 100
0 2 0, 18.7, 31
0 0 2, 24.4, 13
0 3 1, 30.9, 61
2 1 1, 35.5, 41
2 2 0, 37.1, 19
0 1 3, 38.2, 18
2 0 2, 40.5, 17
2 2 2, 44.9, 29
2 3 3, 58.0, 15

Cell and atoms:
```
data_K4PPt2N
_cell_length_a 5.633
_cell_length_b 9.467
_cell_length_c 7.294
_cell_angle_alpha 90.00
_cell_angle_beta 90.00
_cell_angle_gamma 90.00
_space_group_name_H-M_alt 'A m m 2'
_space_group_IT_number 38
loop_
_space_group_symop_operation_xyz
'x,y,z'
'-x,-y,z'
'-x,y,z'
'x,-y,z'
'x,y+1/2,z+1/2'
'-x,-y+1/2,z+1/2'
'-x,y+1/2,z+1/2'
'x,-y+1/2,z+1/2'
loop_
_atom_site_label
_atom_site_fract_x
_atom_site_fract_y
_atom_site_fract_z
_atom_site_occupancy
K1 0.000 0.170 0.000 1
K2 0.500 0.178 0.291 1
P1 0.000 0.000 0.405 1
Pt1 0.257 0.000 0.660 1
N1 0.500 0.000 0.866 1
```

***

# 2
For NiMo4N3, the GGA-PBE geometry in OQMD gives the computed powder XRD pattern in this record (copper Kα).

The 10 most intense peaks (5 to 70 degrees two-theta), in order of rising 2θ:
h k l, 2θ (°), Rel. int.
0 0 8, 27.6, 24
0 0 10, 34.8, 29
1 0 1, 37.0, 17
1 0 2, 37.5, 28
1 0 4, 39.5, 18
1 0 5, 40.9, 68
1 0 6, 42.6, 100
1 0 11, 54.2, 20
1 0 12, 57.1, 25
1 1 0, 66.3, 34

Cell and atoms:
```
data_NiMo4N3
_cell_length_a 2.8194
_cell_length_b 2.8194
_cell_length_c 25.8130
_cell_angle_alpha 90.00
_cell_angle_beta 90.00
_cell_angle_gamma 120.00
_space_group_name_H-M_alt 'P 63/m m c'
_space_group_IT_number 194
_space_group_name_Hall '-P 6c 2c'
loop_
_atom_site_label
_atom_site_fract_x
_atom_site_fract_y
_atom_site_fract_z
_atom_site_occupancy
Ni1 0.3333 0.6667 0.2500 1
Mo1 0.0000 0.0000 0.1684 1
Mo2 0.3333 0.6667 0.0567 1
N1 0.0000 0.0000 0.0000 1
N2 0.3333 0.6667 0.6141 1
```

***

# 3
For GdErIr2, the GGA-PBE geometry in OQMD gives the computed powder XRD pattern in this record (copper Kα).

The 10 most intense peaks (5 to 70 degrees two-theta), in order of rising 2θ:
h k l, 2θ (°), Rel. int.
0 1 1, 20.1, 17
1 1 1, 29.1, 16
1 0 2, 32.4, 49
0 2 1, 34.4, 32
1 1 2, 36.3, 57
1 2 1, 40.6, 100
2 0 0, 42.4, 31
0 1 4, 53.0, 13
2 2 1, 55.7, 16
2 1 3, 60.2, 16

Cell and atoms:
```
data_GdErIr2
_cell_length_a 4.263
_cell_length_b 5.586
_cell_length_c 7.262
_cell_angle_alpha 90.00
_cell_angle_beta 90.00
_cell_angle_gamma 90.00
_space_group_name_H-M_alt 'P m c 21'
_space_group_IT_number 26
loop_
_space_group_symop_operation_xyz
'x,y,z'
'-x,-y,z+1/2'
'-x,y,z'
'x,-y,z+1/2'
loop_
_atom_site_label
_atom_site_fract_x
_atom_site_fract_y
_atom_site_fract_z
_atom_site_occupancy
Gd1 0.000 0.130 0.000 1
Er1 0.500 0.369 0.647 1
Ir1 0.000 0.388 0.363 1
Ir2 0.500 0.121 0.286 1
```

***

# 4
For Na4AlZnAu2, the GGA-PBE geometry in OQMD gives the computed powder XRD pattern in this record (copper Kα).

The 10 most intense peaks (5 to 70 degrees two-theta), in order of rising 2θ:
h k l, 2θ (°), Rel. int.
1 0 1, 22.5, 100
1 1 0, 26.0, 26
2 0 0, 37.1, 42
1 1 2, 37.3, 79
2 1 1, 43.9, 37
1 0 3, 44.2, 16
2 2 0, 53.5, 14
2 1 3, 59.0, 14
3 1 2, 67.0, 28
2 0 4, 67.4, 12

Cell and atoms:
```
data_Na4AlZnAu2
_cell_length_a 4.845
_cell_length_b 4.845
_cell_length_c 6.787
_cell_angle_alpha 90.00
_cell_angle_beta 90.00
_cell_angle_gamma 90.00
_space_group_name_H-M_alt 'P -4 m 2'
_space_group_IT_number 115
loop_
_space_group_symop_operation_xyz
'x,y,z'
'y,-x,-z'
'-x,-y,z'
'-y,x,-z'
'-x,y,z'
'-y,-x,-z'
'x,-y,z'
'y,x,-z'
loop_
_atom_site_label
_atom_site_fract_x
_atom_site_fract_y
_atom_site_fract_z
_atom_site_occupancy
Na1 0.000 0.000 0.000 1
Na2 0.000 0.500 0.738 1
Na3 0.500 0.500 0.500 1
Al1 0.500 0.500 0.000 1
Zn1 0.000 0.000 0.500 1
Au1 0.000 0.500 0.231 1
```

***

# 5
For CsGdFeSe3, the GGA-PBE geometry in OQMD gives the computed powder XRD pattern in this record (copper Kα).

The 10 most intense peaks (5 to 70 degrees two-theta), in order of rising 2θ:
h k l, 2θ (°), Rel. int.
1 0 1, 10.0, 37
1 1 2, 25.4, 39
2 1 1, 27.4, 100
2 0 4, 28.5, 40
2 1 2, 29.2, 38
1 0 5, 30.2, 24
0 1 5, 36.1, 29
3 1 4, 40.4, 30
0 2 0, 42.7, 33
4 1 3, 43.5, 34

Cell and atoms:
```
data_CsGdFeSe3
_cell_length_a 10.815
_cell_length_b 4.234
_cell_length_c 15.400
_cell_angle_alpha 90.00
_cell_angle_beta 90.00
_cell_angle_gamma 90.00
_space_group_name_H-M_alt 'P n m a'
_space_group_IT_number 62
loop_
_space_group_symop_operation_xyz
'x,y,z'
'-x,-y,-z'
'-x+1/2,-y,z+1/2'
'x+1/2,y,-z+1/2'
'x+1/2,-y+1/2,-z+1/2'
'-x+1/2,y+1/2,z+1/2'
'-x,y+1/2,-z'
'x,-y+1/2,z'
loop_
_atom_site_label
_atom_site_fract_x
_atom_site_fract_y
_atom_site_fract_z
_atom_site_occupancy
Cs1 0.029 0.250 0.162 1
Gd1 0.151 0.750 0.432 1
Fe1 0.154 0.250 0.629 1
Se1 0.031 0.750 0.608 1
Se2 0.203 0.750 0.008 1
Se3 0.234 0.250 0.771 1
```

***

# 6
For NbH4, the GGA-PBE geometry in OQMD gives the computed powder XRD pattern in this record (copper Kα).

The 10 most intense peaks (5 to 70 degrees two-theta), in order of rising 2θ:
h k l, 2θ (°), Rel. int.
1 0 -1, 20.2, 30
0 0 2, 26.6, 44
1 0 -2, 30.5, 33
1 0 2, 31.7, 38
1 1 0, 31.9, 100
2 0 -1, 34.2, 46
1 1 -1, 34.4, 45
1 1 1, 34.9, 35
2 0 1, 35.4, 51
0 1 2, 38.6, 63

Cell and atoms:
```
data_NbH4
_cell_length_a 5.592
_cell_length_b 3.244
_cell_length_c 6.707
_cell_angle_alpha 90.00
_cell_angle_beta 92.52
_cell_angle_gamma 90.00
_space_group_name_H-M_alt 'P 1 21/m 1'
_space_group_IT_number 11
loop_
_space_group_symop_operation_xyz
'x,y,z'
'-x,-y,-z'
'-x,y+1/2,-z'
'x,-y+1/2,z'
loop_
_atom_site_label
_atom_site_fract_x
_atom_site_fract_y
_atom_site_fract_z
_atom_site_occupancy
Nb1 0.134 0.250 0.336 1
Nb2 0.348 0.250 0.815 1
H1 0.012 0.750 0.204 1
H2 0.141 0.750 0.511 1
H3 0.148 0.750 0.846 1
H4 0.169 0.250 0.058 1
H5 0.330 0.750 0.283 1
H6 0.378 0.250 0.544 1
H7 0.393 0.750 0.983 1
H8 0.480 0.750 0.698 1
```